No. 1
# YCdAg2
Computed powder X-ray diffraction pattern, Cu Kα, 1.54184 Å. Input: DFT lattice parameters and positions (GGA-PBE).
Kinematic intensities with the Lorentz-polarization factor, no thermal factor.

Top 10 peaks for 2θ = 10–90°, by angle:
35.18°, d 2.551, I 1000
35.32°, d 2.541, I 990
39.45°, d 2.284, I 723
43.77°, d 2.068, I 266
56.83°, d 1.620, I 118
57.20°, d 1.611, I 116
60.37°, d 1.533, I 391
68.71°, d 1.366, I 262
68.96°, d 1.362, I 259
74.88°, d 1.268, I 203

Atomic structure:
```
4
Lattice="0.0000 3.2400 4.1364 3.2212 0.0000 4.1364 3.2212 3.2400 0.0000" Properties=species:S:1:pos:R:3 pbc="T T T"
Y 0.0000 0.0000 0.0000
Cd 1.6106 1.6200 2.0682
Ag 3.2212 3.2400 4.1364
Ag 4.8318 4.8600 6.2046
```

=====

No. 2
# PmSm2RuO8
Computed powder X-ray diffraction pattern, Cu Kα, 1.54184 Å. Input: DFT lattice parameters and positions (GGA-PBE).
Kinematic intensities with the Lorentz-polarization factor, no thermal factor.

Top 10 peaks for 2θ = 10–90°, by angle:
24.43°, d 3.643, I 1000
31.08°, d 2.877, I 875
34.83°, d 2.576, I 249
47.37°, d 1.919, I 684
50.07°, d 1.822, I 169
56.48°, d 1.629, I 166
58.99°, d 1.566, I 168
60.12°, d 1.539, I 196
71.39°, d 1.321, I 155
81.95°, d 1.176, I 127

Atomic structure:
```
12
Lattice="3.6424 -3.6442 0.0000 3.6424 3.6442 0.0000 0.0000 0.0000 6.9363" Properties=species:S:1:pos:R:3 pbc="T T T"
Pm 0.0000 0.0000 0.0000
Sm 3.6424 0.0000 1.7403
Sm 3.6424 0.0000 5.1960
Ru 0.0000 0.0000 3.4682
O 1.3200 0.0000 2.0459
O 1.3200 0.0000 4.8904
O 3.6424 1.7589 3.4682
O 3.6424 1.3804 0.0000
O 3.6424 -1.3804 0.0000
O 3.6424 -1.7589 3.4682
O 5.9647 0.0000 2.0459
O 5.9647 0.0000 4.8904
```

=====

No. 3
# Cs2MoBr4Cl2
Computed powder X-ray diffraction pattern, Cu Kα, 1.54184 Å. Input: DFT lattice parameters and positions (GGA-PBE).
Kinematic intensities with the Lorentz-polarization factor, no thermal factor.

Top 10 peaks for 2θ = 10–90°, by angle:
13.51°, d 6.554, I 422
18.75°, d 4.732, I 585
23.44°, d 3.796, I 400
27.26°, d 3.271, I 449
29.39°, d 3.039, I 395
29.95°, d 2.983, I 744
30.96°, d 2.888, I 1000
39.66°, d 2.272, I 324
47.95°, d 1.897, I 512
49.21°, d 1.852, I 312

Atomic structure:
```
9
Lattice="6.5998 -3.7911 0.0000 6.5998 3.7911 0.0000 -0.5333 0.0000 6.5419" Properties=species:S:1:pos:R:3 pbc="T T T"
Cs 1.9911 0.0000 1.7370
Cs 10.6751 0.0000 4.8050
Mo 6.3331 0.0000 3.2710
Br 5.3309 1.8190 1.7499
Br 7.3353 1.8190 4.7921
Br 5.3309 -1.8190 1.7499
Br 7.3353 -1.8190 4.7921
Cl 4.3251 0.0000 4.5682
Cl 8.3411 0.0000 1.9737
```

=====

No. 4
# CrSiRh2
Computed powder X-ray diffraction pattern, Cu Kα, 1.54184 Å. Input: DFT lattice parameters and positions (GGA-PBE).
Kinematic intensities with the Lorentz-polarization factor, no thermal factor.

Top 10 peaks for 2θ = 10–90°, by angle:
26.58°, d 3.354, I 331
41.49°, d 2.176, I 1000
42.61°, d 2.122, I 95
46.90°, d 1.937, I 173
48.96°, d 1.860, I 304
56.57°, d 1.627, I 83
70.14°, d 1.342, I 199
71.76°, d 1.315, I 93
83.37°, d 1.159, I 124
86.44°, d 1.126, I 228

Atomic structure:
```
4
Lattice="-1.8603 1.8603 3.8742 1.8603 -1.8603 3.8742 1.8603 1.8603 -3.8742" Properties=species:S:1:pos:R:3 pbc="T T T"
Cr 0.0000 0.0000 0.0000
Si 0.0000 1.8603 1.9371
Rh 1.8603 0.0000 1.9371
Rh 0.0000 0.0000 3.8742
```